This entry pairs a crystal structure of Y3TlO with its simulated PXRD pattern. Radiation: Cu Kα. Structure: DFT lattice parameters and positions (GGA-PBE).
Intensities are scaled so that the largest is 100.

Cell and atoms:
Unit cell a=9.019 b=9.019 c=7.181 alpha=103.75 beta=103.75 gamma=75.21
Element x y z (fractional)
Y1 0.025 0.285 0.636
Y2 0.099 0.653 0.867
Y3 0.285 0.025 0.136
Y4 0.312 0.403 0.478
Y5 0.347 0.901 0.633
Y6 0.403 0.312 0.978
Y7 0.597 0.688 0.022
Y8 0.653 0.099 0.367
Y9 0.688 0.597 0.522
Y10 0.715 0.975 0.864
Y11 0.901 0.347 0.133
Y12 0.975 0.715 0.364
Tl1 0.016 0.984 0.750
Tl2 0.340 0.660 0.250
Tl3 0.660 0.340 0.750
Tl4 0.984 0.016 0.250
O1 0.218 0.413 0.750
O2 0.413 0.218 0.250
O3 0.587 0.782 0.750
O4 0.782 0.587 0.250

Top 8 peaks for 10 to 90 degrees two-theta, sorted by position:
- 12.99 deg, d 6.817, I = 58
- 22.31 deg, d 3.984, I = 35
- 26.55 deg, d 3.358, I = 33
- 29.27 deg, d 3.051, I = 31
- 30.97 deg, d 2.888, I = 48
- 31.33 deg, d 2.855, I = 100
- 32.57 deg, d 2.749, I = 79
- 34.99 deg, d 2.565, I = 67

***

This entry pairs a crystal structure of Y5Tl2O2 with its simulated PXRD pattern. Radiation: Cu Kα. Structure: DFT lattice parameters and positions (GGA-PBE).
Intensities are scaled so that the largest is 100.

Cell and atoms:
Unit cell a=10.510 b=10.510 c=10.510 alpha=142.41 beta=54.53 gamma=142.00
Element x y z (fractional)
Y1 0.000 0.000 0.500
Y2 0.000 0.500 0.000
Y3 0.200 0.063 0.137
Y4 0.240 0.000 0.740
Y5 0.240 0.500 0.240
Y6 0.426 0.063 0.363
Y7 0.574 0.937 0.637
Y8 0.760 0.000 0.260
Y9 0.760 0.500 0.760
Y10 0.800 0.937 0.863
Tl1 0.110 0.484 0.626
Tl2 0.358 0.484 0.874
Tl3 0.642 0.516 0.126
Tl4 0.890 0.516 0.374
O1 0.000 0.000 0.000
O2 0.219 0.969 0.250
O3 0.500 0.000 0.500
O4 0.781 0.031 0.750

Top 8 peaks for 10 to 90 degrees two-theta, sorted by position:
- 18.43 deg, d 4.814, I = 20
- 26.59 deg, d 3.353, I = 36
- 32.43 deg, d 2.761, I = 83
- 32.66 deg, d 2.742, I = 100
- 37.36 deg, d 2.407, I = 69
- 38.55 deg, d 2.336, I = 33
- 54.76 deg, d 1.676, I = 40
- 64.56 deg, d 1.443, I = 23

***

This entry pairs a crystal structure of ZrTlO with its simulated PXRD pattern. Radiation: Cu Kα. Structure: DFT lattice parameters and positions (GGA-PBE).
Intensities are scaled so that the largest is 100.

Cell and atoms:
Unit cell a=3.803 b=3.803 c=7.500 alpha=90.00 beta=90.00 gamma=90.00
Element x y z (fractional)
Zr1 0.250 0.250 0.149
Zr2 0.750 0.750 0.851
Tl1 0.250 0.250 0.604
Tl2 0.750 0.750 0.396
O1 0.250 0.750 0.000
O2 0.750 0.250 0.000

Top 8 peaks for 10 to 90 degrees two-theta, sorted by position:
- 11.80 deg, d 7.500, I = 24
- 33.31 deg, d 2.689, I = 49
- 33.56 deg, d 2.670, I = 100
- 35.46 deg, d 2.532, I = 16
- 43.31 deg, d 2.089, I = 15
- 47.83 deg, d 1.902, I = 22
- 59.69 deg, d 1.549, I = 38
- 60.16 deg, d 1.538, I = 16

***

This entry pairs a crystal structure of Zr6Tl3O with its simulated PXRD pattern. Radiation: Cu Kα. Structure: DFT lattice parameters and positions (GGA-PBE).
Intensities are scaled so that the largest is 100.

Cell and atoms:
Unit cell a=9.486 b=9.486 c=5.312 alpha=90.00 beta=90.00 gamma=114.27
Element x y z (fractional)
Zr1 0.068 0.932 0.500
Zr2 0.071 0.590 0.465
Zr3 0.262 0.411 0.015
Zr4 0.266 0.734 0.978
Zr5 0.410 0.929 0.465
Zr6 0.411 0.262 0.515
Zr7 0.589 0.738 0.015
Zr8 0.590 0.071 0.965
Zr9 0.734 0.266 0.478
Zr10 0.738 0.589 0.515
Zr11 0.929 0.410 0.965
Zr12 0.932 0.068 0.000
Tl1 0.077 0.268 0.522
Tl2 0.268 0.077 0.022
Tl3 0.404 0.596 0.512
Tl4 0.596 0.404 0.012
Tl5 0.732 0.923 0.522
Tl6 0.923 0.732 0.022
O1 0.193 0.807 0.640
O2 0.807 0.193 0.140

Top 8 peaks for 10 to 90 degrees two-theta, sorted by position:
- 20.09 deg, d 4.420, I = 13
- 33.75 deg, d 2.656, I = 53
- 35.43 deg, d 2.534, I = 100
- 37.87 deg, d 2.376, I = 8
- 48.47 deg, d 1.878, I = 17
- 61.46 deg, d 1.509, I = 32
- 64.67 deg, d 1.441, I = 16
- 74.97 deg, d 1.267, I = 9

***

This entry pairs a crystal structure of Tm2O3 with its simulated PXRD pattern. Radiation: Cu Kα. Structure: DFT lattice parameters and positions (GGA-PBE).
Intensities are scaled so that the largest is 100.

Cell and atoms:
Unit cell a=9.070 b=9.070 c=9.070 alpha=109.47 beta=109.47 gamma=109.47
Element x y z (fractional)
Tm1 0.000 0.000 0.000
Tm2 0.000 0.500 0.500
Tm3 0.033 0.783 0.250
Tm4 0.217 0.750 0.967
Tm5 0.250 0.033 0.783
Tm6 0.250 0.533 0.283
Tm7 0.283 0.250 0.533
Tm8 0.467 0.717 0.750
Tm9 0.500 0.000 0.500
Tm10 0.500 0.500 0.000
Tm11 0.533 0.283 0.250
Tm12 0.717 0.750 0.467
Tm13 0.750 0.467 0.717
Tm14 0.750 0.967 0.217
Tm15 0.783 0.250 0.033
Tm16 0.967 0.217 0.750
O1 0.011 0.468 0.739
O2 0.032 0.043 0.271
O3 0.043 0.271 0.032
O4 0.228 0.457 0.489
O5 0.229 0.272 0.761
O6 0.239 0.771 0.728
O7 0.261 0.989 0.532
O8 0.271 0.032 0.043
O9 0.272 0.761 0.229
O10 0.457 0.489 0.228
O11 0.468 0.739 0.011
O12 0.489 0.228 0.457
O13 0.511 0.772 0.543
O14 0.532 0.261 0.989
O15 0.543 0.511 0.772
O16 0.728 0.239 0.771
O17 0.729 0.968 0.957
O18 0.739 0.011 0.468
O19 0.761 0.229 0.272
O20 0.771 0.728 0.239
O21 0.772 0.543 0.511
O22 0.957 0.729 0.968
O23 0.968 0.957 0.729
O24 0.989 0.532 0.261

Top 8 peaks for 10 to 90 degrees two-theta, sorted by position:
- 20.77 deg, d 4.276, I = 10
- 29.55 deg, d 3.023, I = 100
- 34.25 deg, d 2.618, I = 36
- 44.09 deg, d 2.054, I = 9
- 49.21 deg, d 1.851, I = 37
- 58.45 deg, d 1.579, I = 31
- 79.84 deg, d 1.201, I = 8
- 82.35 deg, d 1.171, I = 7

***

This entry pairs a crystal structure of Tm3UO8 with its simulated PXRD pattern. Radiation: Cu Kα. Structure: DFT lattice parameters and positions (GGA-PBE).
Intensities are scaled so that the largest is 100.

Cell and atoms:
Unit cell a=5.294 b=5.294 c=5.294 alpha=90.00 beta=90.00 gamma=90.00
Element x y z (fractional)
Tm1 0.000 0.000 0.500
Tm2 0.000 0.500 0.000
Tm3 0.500 0.000 0.000
U1 0.500 0.500 0.500
O1 0.258 0.258 0.258
O2 0.258 0.258 0.742
O3 0.258 0.742 0.258
O4 0.258 0.742 0.742
O5 0.742 0.258 0.258
O6 0.742 0.258 0.742
O7 0.742 0.742 0.258
O8 0.742 0.742 0.742

Top 8 peaks for 10 to 90 degrees two-theta, sorted by position:
- 29.22 deg, d 3.057, I = 100
- 33.86 deg, d 2.647, I = 34
- 48.65 deg, d 1.872, I = 50
- 57.76 deg, d 1.596, I = 45
- 60.59 deg, d 1.528, I = 10
- 71.25 deg, d 1.324, I = 8
- 78.80 deg, d 1.215, I = 19
- 81.27 deg, d 1.184, I = 14